(1)
Computed X-ray powder pattern of BaO4 for Cu Kα (λ = 1.5418 Å), from a cell relaxed with PBE.
Kinematic intensities with the Lorentz-polarization factor, no thermal factor.

Most intense lines, 2θ = 10–90°, in order of rising 2θ:
- 2θ = 14.3°, intensity 43, (0 1 1)
- 2θ = 22.1°, intensity 100, (0 2 1)
- 2θ = 23.2°, intensity 33, (0 1 2)
- 2θ = 27.5°, intensity 37, (1 0 -2)
- 2θ = 30.5°, intensity 35, (1 0 2)
- 2θ = 37.8°, intensity 32, (1 3 1)

Cell and atoms:
Lattice parameters (Å, degrees): 4.5005 9.1711 8.4873 90.00 95.74 90.00
Space group P2_1/c (No. 14)
One atom of each set of equivalent atoms:
Ba: 0.2336 0.1537 0.3384 (multiplicity 4)
O: 0.1555 0.0561 0.7790 (multiplicity 4)
O: 0.1810 0.7235 0.4565 (multiplicity 4)
O: 0.2558 0.0194 0.6364 (multiplicity 4)
O: 0.2975 0.7261 0.8298 (multiplicity 4)

---

(2)
Computed X-ray powder pattern of BaO3 for Cu Kα (λ = 1.5418 Å), from a cell relaxed with PBE.
Kinematic intensities with the Lorentz-polarization factor, no thermal factor.

Most intense lines, 2θ = 10–90°, in order of rising 2θ:
- 2θ = 20.9°, intensity 100, (0 1 1)
- 2θ = 23.6°, intensity 62, (0 0 2)
- 2θ = 25.7°, intensity 43, (1 0 0)
- 2θ = 33.3°, intensity 94, (1 1 1)
- 2θ = 35.2°, intensity 55, (1 0 2)
- 2θ = 36.8°, intensity 48, (0 2 1)

Cell and atoms:
Lattice parameters (Å, degrees): 3.4725 5.1573 7.5254 90.00 90.00 90.00
Space group Pmc2_1 (No. 26)
One atom of each set of equivalent atoms:
Ba: 0.0000 0.1703 0.0000 (multiplicity 2)
O: 0.0000 0.3368 0.6405 (multiplicity 2)
O: 0.5000 0.0644 0.2700 (multiplicity 2)
O: 0.5000 0.3901 0.5821 (multiplicity 2)

---

(3)
Computed X-ray powder pattern of BaO4 for Cu Kα (λ = 1.5418 Å), from a cell relaxed with PBE.
Kinematic intensities with the Lorentz-polarization factor, no thermal factor.

Most intense lines, 2θ = 10–90°, in order of rising 2θ:
- 2θ = 14.5°, intensity 74, (0 1 1)
- 2θ = 20.3°, intensity 48, (0 0 2)
- 2θ = 21.2°, intensity 70, (1 1 0)
- 2θ = 23.1°, intensity 100, (0 2 1)
- 2θ = 27.7°, intensity 48, (1 0 2)
- 2θ = 38.0°, intensity 82, (1 3 -1)

Cell and atoms:
Lattice parameters (Å, degrees): 4.8015 8.5886 8.7315 90.00 90.26 90.00
Space group P2_1/c (No. 14)
One atom of each set of equivalent atoms:
Ba: 0.2347 0.1362 0.3294 (multiplicity 4)
O: 0.0860 0.7054 0.4302 (multiplicity 4)
O: 0.2307 0.7068 0.8347 (multiplicity 4)
O: 0.2704 0.5091 0.1208 (multiplicity 4)
O: 0.2885 0.0490 0.7680 (multiplicity 4)

---

(4)
Computed X-ray powder pattern of BaOsO9 for Cu Kα (λ = 1.5418 Å), from a cell relaxed with PBE.
Kinematic intensities with the Lorentz-polarization factor, no thermal factor.

Most intense lines, 2θ = 10–90°, in order of rising 2θ:
- 2θ = 14.2°, intensity 55, (0 1 1)
- 2θ = 18.4°, intensity 64, (1 1 1)
- 2θ = 23.7°, intensity 35, (0 1 3)
- 2θ = 25.3°, intensity 39, (0 2 0)
- 2θ = 26.5°, intensity 100, (1 1 3)
- 2θ = 39.1°, intensity 34, (1 2 4)

Cell and atoms:
Lattice parameters (Å, degrees): 7.6166 7.0479 13.2722 90.00 90.00 90.00
Space group Pnma (No. 62)
One atom of each set of equivalent atoms:
Ba: 0.2019 0.2500 0.1568 (multiplicity 4)
Os: 0.2440 0.2500 0.4617 (multiplicity 4)
O: 0.0041 0.7500 0.0129 (multiplicity 4)
O: 0.0231 0.5928 0.2639 (multiplicity 8)
O: 0.0750 0.2500 0.3693 (multiplicity 4)
O: 0.1025 0.7500 0.2426 (multiplicity 4)
O: 0.1090 0.5725 0.8883 (multiplicity 8)
O: 0.1879 0.0627 0.5443 (multiplicity 8)

---

(5)
Computed X-ray powder pattern of BaOsO9 for Cu Kα (λ = 1.5418 Å), from a cell relaxed with PBE.
Kinematic intensities with the Lorentz-polarization factor, no thermal factor.

Most intense lines, 2θ = 10–90°, in order of rising 2θ:
- 2θ = 10.3°, intensity 38, (0 0 2)
- 2θ = 17.8°, intensity 26, (0 1 1)
- 2θ = 21.0°, intensity 34, (1 1 1)
- 2θ = 22.3°, intensity 25, (2 0 0)
- 2θ = 23.5°, intensity 43, (1 0 4)
- 2θ = 25.6°, intensity 100, (1 1 3)

Cell and atoms:
Lattice parameters (Å, degrees): 7.9567 5.2130 17.2527 90.00 90.00 90.00
Space group Pnma (No. 62)
One atom of each set of equivalent atoms:
Ba: 0.1899 0.2500 0.1688 (multiplicity 4)
Os: 0.2453 0.7500 0.9707 (multiplicity 4)
O: 0.0285 0.2500 0.9454 (multiplicity 4)
O: 0.0320 0.0299 0.7338 (multiplicity 8)
O: 0.0875 0.2500 0.4077 (multiplicity 4)
O: 0.0879 0.5189 0.9152 (multiplicity 8)
O: 0.1109 0.2500 0.7569 (multiplicity 4)
O: 0.2185 0.5012 0.5374 (multiplicity 8)

---

(6)
Computed X-ray powder pattern of Ba2YOsO6 for Cu Kα (λ = 1.5418 Å), from a cell relaxed with PBE.
Kinematic intensities with the Lorentz-polarization factor, no thermal factor.

Most intense lines, 2θ = 10–90°, in order of rising 2θ:
- 2θ = 29.8°, intensity 100, (2 2 0)
- 2θ = 42.7°, intensity 29, (4 0 0)
- 2θ = 53.0°, intensity 40, (4 2 2)
- 2θ = 62.0°, intensity 18, (4 4 0)
- 2θ = 70.3°, intensity 18, (6 2 0)
- 2θ = 85.9°, intensity 22, (6 4 2)

Cell and atoms:
Lattice parameters (Å, degrees): 8.4674 8.4674 8.4674 90.00 90.00 90.00
Space group Fm-3m (No. 225)
One atom of each set of equivalent atoms:
Ba: 0.2500 0.2500 0.2500 (multiplicity 8)
Y: 0.0000 0.0000 0.0000 (multiplicity 4)
Os: 0.0000 0.0000 0.5000 (multiplicity 4)
O: 0.0000 0.0000 0.2650 (multiplicity 24)